The following is a computed XRD peak list of K3Zr6BeCl15. It was derived from a DFT-relaxed cell (GGA-PBE, the Materials Project), using Cu Kα, 1.54184 Å.
Intensities are scaled so that the largest is 100.

Structural model:
Unit cell a=16.658 b=11.567 c=14.333 alpha=90.00 beta=92.75 gamma=90.00
Space group C2/c (No. 15)
Unique sites:
K1 0.000 0.062 0.250 [4 per cell]
K2 0.113 0.246 0.568 [8 per cell]
Zr1 0.134 0.136 0.999 [8 per cell]
Zr2 0.189 0.386 0.097 [8 per cell]
Zr3 0.198 0.349 0.866 [8 per cell]
Be1 0.250 0.250 0.000 [4 per cell]
Cl1 0.000 0.000 0.000 [4 per cell]
Cl2 0.052 0.273 0.102 [8 per cell]
Cl3 0.067 0.224 0.850 [8 per cell]
Cl4 0.125 0.453 0.711 [8 per cell]
Cl5 0.126 0.493 0.460 [8 per cell]
Cl6 0.176 0.018 0.146 [8 per cell]
Cl7 0.190 0.029 0.399 [8 per cell]
Cl8 0.235 0.283 0.251 [8 per cell]

Peak list (6 most intense, 10° ≤ 2θ ≤ 90°, low angle first)
index  Position (°2θ)  Rel. int.
2 0 0  10.63  44.8
1 1 -1  11.04  100.0
1 1 1  11.32  55.8
2 2 4  31.72  26.4
5 3 0  35.64  23.3
2 2 5  37.11  22.5